For SrTlSeS2, a DFT-relaxed cell (GGA-PBE, Alexandria) gives the theoretical X-ray diffraction stick pattern in this record (Cu Kα, 1.54184 Å).
No peak broadening, texture or thermal motion is included.

Cell: 7.569 4.699 8.131 Å, 90.00 103.39 90.00°
Sites, in units of the cell vectors:
Sr  0.000  0.004  0.250
Sr  0.000  0.996  0.750
Tl  0.500  0.312  0.750
Tl  0.500  0.688  0.250
Se  0.000  0.500  0.000
Se  0.000  0.500  0.500
S  0.286  0.204  0.059
S  0.286  0.796  0.559
S  0.714  0.204  0.441
S  0.714  0.796  0.941

Largest 8 diffraction maxima, by angle, 10 to 90 degrees two-theta:
d 4.040, 2θ 22.00, intensity 66
d 3.879, 2θ 22.93, intensity 61
d 3.682, 2θ 24.17, intensity 99
d 3.377, 2θ 26.39, intensity 100
d 2.991, 2θ 29.87, intensity 70
d 2.639, 2θ 33.97, intensity 61
d 2.573, 2θ 34.86, intensity 54
d 2.238, 2θ 40.29, intensity 58